# 1
Li4CrGa3O8: computed powder X-ray diffraction pattern (copper Kα), based on the GGA+U geometry in the Materials Project.

Cell and atoms:
```
Li4CrGa3O8
1.0
5.029 0.000 0.000
-0.007 5.553 0.000
-0.023 -0.218 6.503
Li Cr Ga O
4 1 3 8
Direct
0.000 0.000 0.000
0.000 0.499 0.742
0.505 0.337 0.491
0.505 0.837 0.244
0.005 0.003 0.501
0.495 0.827 0.752
0.496 0.335 0.990
0.998 0.506 0.239
0.103 0.336 0.467
0.103 0.830 0.254
0.120 0.832 0.740
0.123 0.347 0.000
0.602 0.011 0.985
0.603 0.505 0.759
0.624 0.981 0.520
0.625 0.491 0.230
```

The 10 most intense peaks (10° ≤ 2θ ≤ 90°), by intensity:
- 2θ = 22.3°, rel. 100.0
- 2θ = 35.7°, rel. 46.5
- 2θ = 20.7°, rel. 46.0
- 2θ = 37.0°, rel. 40.0
- 2θ = 21.4°, rel. 38.0
- 2θ = 31.4°, rel. 26.5
- 2θ = 32.4°, rel. 26.0
- 2θ = 36.3°, rel. 25.2
- 2θ = 32.3°, rel. 23.5
- 2θ = 65.0°, rel. 19.8

---

# 2
Sr2YCr2GaO7: computed powder X-ray diffraction pattern (copper Kα), based on the GGA+U geometry in the Materials Project.

Cell and atoms:
```
Sr2YCr2GaO7
1.0
-11.526 2.871 2.805
11.526 -2.871 2.805
11.526 2.871 -2.805
Sr Y Cr Ga O
4 2 4 2 14
Direct
0.026 0.154 0.181
0.026 0.346 0.372
0.974 0.654 0.628
0.974 0.846 0.819
0.989 0.489 0.500
0.989 0.989 0.000
0.484 0.561 0.073
0.484 0.911 0.423
0.488 0.061 0.577
0.488 0.411 0.927
0.448 0.770 0.178
0.592 0.270 0.822
0.397 0.124 0.139
0.397 0.758 0.773
0.402 0.133 0.624
0.402 0.277 0.768
0.509 0.633 0.232
0.509 0.777 0.376
0.563 0.338 0.353
0.563 0.710 0.725
0.725 0.108 0.117
0.984 0.258 0.861
0.984 0.624 0.227
0.985 0.210 0.647
0.985 0.838 0.275
0.991 0.608 0.883
```

The 10 most intense peaks (10° ≤ 2θ ≤ 90°), by intensity:
- 2θ = 32.3°, rel. 100.0
- 2θ = 45.2°, rel. 32.4
- 2θ = 31.9°, rel. 31.2
- 2θ = 31.2°, rel. 27.7
- 2θ = 57.1°, rel. 21.5
- 2θ = 56.1°, rel. 16.7
- 2θ = 38.5°, rel. 11.5
- 2θ = 67.5°, rel. 10.6
- 2θ = 47.3°, rel. 9.6
- 2θ = 39.1°, rel. 9.5

---

# 3
GdCrGeO5: computed powder X-ray diffraction pattern (copper Kα), based on the GGA+U geometry in the Materials Project.

Cell and atoms:
```
GdCrGeO5
1.0
7.511 0.000 0.000
0.000 8.540 0.000
0.000 0.000 5.845
Gd Cr Ge O
4 4 4 20
Direct
0.143 0.173 0.000
0.357 0.673 0.000
0.643 0.327 0.000
0.857 0.827 0.000
0.000 0.500 0.252
0.000 0.500 0.748
0.500 0.000 0.252
0.500 0.000 0.748
0.117 0.856 0.500
0.383 0.356 0.500
0.617 0.644 0.500
0.883 0.144 0.500
0.000 0.000 0.291
0.000 0.000 0.709
0.109 0.717 0.253
0.109 0.717 0.747
0.158 0.420 0.500
0.166 0.444 0.000
0.334 0.944 0.000
0.342 0.920 0.500
0.391 0.217 0.253
0.391 0.217 0.747
0.500 0.500 0.291
0.500 0.500 0.709
0.609 0.783 0.253
0.609 0.783 0.747
0.658 0.080 0.500
0.666 0.056 0.000
0.834 0.556 0.000
0.842 0.580 0.500
0.891 0.283 0.253
0.891 0.283 0.747
```

The 10 most intense peaks (10° ≤ 2θ ≤ 90°), by intensity:
- 2θ = 30.2°, rel. 100.0
- 2θ = 28.5°, rel. 72.3
- 2θ = 58.4°, rel. 37.4
- 2θ = 33.7°, rel. 30.9
- 2θ = 53.1°, rel. 24.6
- 2θ = 34.6°, rel. 22.4
- 2θ = 54.1°, rel. 19.0
- 2θ = 40.5°, rel. 18.9
- 2θ = 15.2°, rel. 18.5
- 2θ = 30.6°, rel. 17.0

---

# 4
GdCrO5: computed powder X-ray diffraction pattern (copper Kα), based on the GGA+U geometry in the Materials Project.

Cell and atoms:
```
GdCrO5
1.0
8.363 0.000 0.000
0.000 11.521 0.000
-7.510 0.000 8.470
Gd Cr O
8 8 40
Direct
0.214 0.053 0.343
0.214 0.447 0.843
0.269 0.576 0.185
0.269 0.924 0.685
0.731 0.076 0.315
0.731 0.424 0.815
0.786 0.553 0.157
0.786 0.947 0.657
0.141 0.176 0.000
0.141 0.324 0.500
0.403 0.691 0.543
0.403 0.809 0.043
0.597 0.191 0.957
0.597 0.309 0.457
0.859 0.676 0.500
0.859 0.824 0.000
0.027 0.536 0.914
0.027 0.964 0.414
0.041 0.588 0.650
0.041 0.912 0.150
0.096 0.187 0.433
0.096 0.313 0.933
0.132 0.168 0.141
0.132 0.332 0.641
0.223 0.623 0.370
0.223 0.877 0.870
0.289 0.739 0.609
0.289 0.761 0.109
0.383 0.134 0.078
0.383 0.366 0.578
0.404 0.101 0.824
0.404 0.399 0.324
0.468 0.518 0.111
0.468 0.982 0.611
0.497 0.688 0.019
0.497 0.812 0.519
0.503 0.188 0.481
0.503 0.312 0.981
0.532 0.018 0.389
0.532 0.482 0.889
0.596 0.601 0.676
0.596 0.899 0.176
0.617 0.634 0.422
0.617 0.866 0.922
0.711 0.239 0.891
0.711 0.261 0.391
0.777 0.123 0.130
0.777 0.377 0.630
0.868 0.668 0.359
0.868 0.832 0.859
0.904 0.687 0.067
0.904 0.813 0.567
0.959 0.088 0.850
0.959 0.412 0.350
0.973 0.036 0.586
0.973 0.464 0.086
```

The 10 most intense peaks (10° ≤ 2θ ≤ 90°), by intensity:
- 2θ = 18.6°, rel. 100.0
- 2θ = 26.0°, rel. 84.2
- 2θ = 32.6°, rel. 83.7
- 2θ = 24.1°, rel. 55.1
- 2θ = 27.7°, rel. 51.4
- 2θ = 31.7°, rel. 50.1
- 2θ = 13.0°, rel. 48.3
- 2θ = 25.5°, rel. 46.1
- 2θ = 26.1°, rel. 44.9
- 2θ = 32.8°, rel. 40.5

---

# 5
GdCrO4: computed powder X-ray diffraction pattern (copper Kα), based on the GGA+U geometry in the Materials Project.

Cell and atoms:
```
GdCrO4
1.0
5.123 -3.182 0.000
5.123 3.182 0.000
-5.117 0.000 5.164
Gd Cr O
2 2 8
Direct
0.000 0.000 0.000
0.750 0.250 0.500
0.250 0.750 0.500
0.500 0.500 0.000
0.060 0.908 0.665
0.092 0.940 0.335
0.144 0.492 0.825
0.242 0.395 0.315
0.508 0.856 0.175
0.605 0.758 0.685
0.659 0.311 0.804
0.689 0.341 0.196
```

The 10 most intense peaks (10° ≤ 2θ ≤ 90°), by intensity:
- 2θ = 24.5°, rel. 100.0
- 2θ = 33.1°, rel. 69.4
- 2θ = 18.5°, rel. 34.3
- 2θ = 48.8°, rel. 29.3
- 2θ = 48.9°, rel. 29.1
- 2θ = 50.2°, rel. 15.3
- 2θ = 39.8°, rel. 13.8
- 2θ = 63.9°, rel. 12.0
- 2θ = 34.7°, rel. 11.3
- 2θ = 35.0°, rel. 10.9